KH7Pt2: calculated X-ray diffraction stick pattern (Cu Kα X-rays), based on a cell relaxed with GGA-PBE.
Intensities are scaled so that the largest is 100.

Largest 8 diffraction maxima, sorted by position, 2θ = 15–90°:
17.9°, d = 4.947 Å, rel. 58; 24.4°, d = 3.648 Å, rel. 72; 30.4°, d = 2.936 Å, rel. 61; 31.1°, d = 2.877 Å, rel. 50; 31.9°, d = 2.802 Å, rel. 100; 33.8°, d = 2.655 Å, rel. 48; 40.6°, d = 2.222 Å, rel. 65; 46.1°, d = 1.969 Å, rel. 38

Structural model:
```
data_KH7Pt2
_chemical_formula_sum 'K2 H14 Pt4'
_cell_length_a 5.3108
_cell_length_b 9.8948
_cell_length_c 3.6476
_cell_angle_alpha 90.00
_cell_angle_beta 90.00
_cell_angle_gamma 90.00
_symmetry_space_group_name_H-M 'C m m m'
_symmetry_Int_Tables_number 65
_symmetry_space_group_name_Hall '-C 2 2'
loop_
_atom_site_label
_atom_site_type_symbol
_atom_site_fract_x
_atom_site_fract_y
_atom_site_fract_z
_atom_site_occupancy
K1 K 0.0000 0.0000 0.0000 1
H1 H 0.0000 0.3239 0.0000 1
H2 H 0.0000 0.5000 0.5000 1
H3 H 0.1822 0.1571 0.5000 1
Pt1 Pt 0.0000 0.3167 0.5000 1
```

***

K2Te2H4Pt: calculated X-ray diffraction stick pattern (Cu Kα X-rays), based on a cell relaxed with GGA-PBE.
Intensities are scaled so that the largest is 100.

Largest 8 diffraction maxima, sorted by position, 2θ = 15–90°:
18.1°, d = 4.892 Å, rel. 100; 25.8°, d = 3.459 Å, rel. 93; 35.0°, d = 2.565 Å, rel. 60; 36.7°, d = 2.446 Å, rel. 37; 41.3°, d = 2.188 Å, rel. 25; 43.9°, d = 2.060 Å, rel. 62; 58.6°, d = 1.576 Å, rel. 27; 65.0°, d = 1.434 Å, rel. 19

Structural model:
```
data_K2Te2H4Pt
_chemical_formula_sum 'K4 Te4 H8 Pt2'
_cell_length_a 6.9185
_cell_length_b 6.9185
_cell_length_c 8.2848
_cell_angle_alpha 90.00
_cell_angle_beta 90.00
_cell_angle_gamma 90.00
_symmetry_space_group_name_H-M 'I 4/m m m'
_symmetry_Int_Tables_number 139
_symmetry_space_group_name_Hall '-I 4 2'
loop_
_atom_site_label
_atom_site_type_symbol
_atom_site_fract_x
_atom_site_fract_y
_atom_site_fract_z
_atom_site_occupancy
K1 K 0.0000 0.5000 0.2500 1
Te1 Te 0.0000 0.0000 0.1734 1
H1 H 0.1701 0.1701 0.5000 1
Pt1 Pt 0.0000 0.0000 0.5000 1
```

***

K2Tl2H4Pt: calculated X-ray diffraction stick pattern (Cu Kα X-rays), based on a cell relaxed with GGA-PBE.
Intensities are scaled so that the largest is 100.

Largest 8 diffraction maxima, sorted by position, 2θ = 15–90°:
18.6°, d = 4.758 Å, rel. 100; 26.5°, d = 3.365 Å, rel. 77; 34.5°, d = 2.602 Å, rel. 61; 37.8°, d = 2.379 Å, rel. 31; 42.5°, d = 2.128 Å, rel. 26; 44.0°, d = 2.058 Å, rel. 62; 59.4°, d = 1.557 Å, rel. 26; 78.8°, d = 1.214 Å, rel. 22

Structural model:
```
data_K2Tl2H4Pt
_chemical_formula_sum 'K4 Tl4 H8 Pt2'
_cell_length_a 6.7292
_cell_length_b 6.7292
_cell_length_c 8.4651
_cell_angle_alpha 90.00
_cell_angle_beta 90.00
_cell_angle_gamma 90.00
_symmetry_space_group_name_H-M 'I 4/m m m'
_symmetry_Int_Tables_number 139
_symmetry_space_group_name_Hall '-I 4 2'
loop_
_atom_site_label
_atom_site_type_symbol
_atom_site_fract_x
_atom_site_fract_y
_atom_site_fract_z
_atom_site_occupancy
K1 K 0.0000 0.5000 0.2500 1
Tl1 Tl 0.0000 0.0000 0.1710 1
H1 H 0.1777 0.1777 0.5000 1
Pt1 Pt 0.0000 0.0000 0.5000 1
```

***

K2RbH8: calculated X-ray diffraction stick pattern (Cu Kα X-rays), based on a cell relaxed with GGA-PBE.
Intensities are scaled so that the largest is 100.

Largest 8 diffraction maxima, sorted by position, 2θ = 15–90°:
23.1°, d = 3.845 Å, rel. 100; 24.6°, d = 3.617 Å, rel. 85; 25.8°, d = 3.447 Å, rel. 40; 27.8°, d = 3.208 Å, rel. 25; 28.5°, d = 3.131 Å, rel. 57; 38.9°, d = 2.318 Å, rel. 59; 46.6°, d = 1.951 Å, rel. 24; 49.0°, d = 1.859 Å, rel. 24

Structural model:
```
data_K2RbH8
_chemical_formula_sum 'K4 Rb2 H16'
_cell_length_a 4.2486
_cell_length_b 6.8936
_cell_length_c 13.8988
_cell_angle_alpha 90.00
_cell_angle_beta 90.00
_cell_angle_gamma 90.00
_symmetry_space_group_name_H-M 'I m m m'
_symmetry_Int_Tables_number 71
_symmetry_space_group_name_Hall '-I 2 2'
loop_
_atom_site_label
_atom_site_type_symbol
_atom_site_fract_x
_atom_site_fract_y
_atom_site_fract_z
_atom_site_occupancy
K1 K 0.0000 0.0000 0.1461 1
Rb1 Rb 0.0000 0.0000 0.5000 1
H1 H 0.0000 0.2367 0.0000 1
H2 H 0.0000 0.3530 0.2475 1
H3 H 0.0000 0.5000 0.2442 1
```